[1]
Diffraction record for Sr3Sc2N4. The powder X-ray diffraction pattern is simulated, not measured: it uses a DFT-relaxed cell (PBE, the Materials Project) and λ = 1.5418 Å (Cu Kα).
Kinematic intensities with the Lorentz-polarization factor, no thermal factor.

```
data_Sr3Sc2N4
_chemical_formula_sum 'Sr12 Sc8 N16'
_cell_length_a 6.1876
_cell_length_b 10.9948
_cell_length_c 9.8829
_cell_angle_alpha 90.00
_cell_angle_beta 90.00
_cell_angle_gamma 90.00
_symmetry_space_group_name_H-M 'P n n a'
_symmetry_Int_Tables_number 52
loop_
_symmetry_equiv_pos_as_xyz
'x,y,z'
'-x,-y,-z'
'-x+1/2,-y,z'
'x+1/2,y,-z'
'x,-y+1/2,-z+1/2'
'-x,y+1/2,z+1/2'
'-x+1/2,y+1/2,-z+1/2'
'x+1/2,-y+1/2,z+1/2'
loop_
_atom_site_label
_atom_site_fract_x
_atom_site_fract_y
_atom_site_fract_z
_atom_site_occupancy
Sr1 0.1156 0.1541 0.0863 1
Sr2 0.2500 0.0000 0.4060 1
Sc1 0.1587 0.2500 0.7500 1
Sc2 0.2500 0.0000 0.7390 1
N1 0.0031 0.0983 0.8398 1
N2 0.1196 0.6442 0.8716 1
```

Principal peaks in the range 15° ≤ 2θ ≤ 90°, sorted by position:
2θ (°)  d_spacing  intensity  h k l
25.93  3.436  91  0 3 1
30.00  2.978  38  2 1 0
30.75  2.908  100  1 0 3
31.37  2.852  24  2 1 1
31.83  2.811  49  1 1 3
33.72  2.658  78  1 3 2
34.48  2.601  50  2 2 1
44.07  2.055  17  2 4 0
46.71  1.945  23  1 3 4
48.54  1.875  19  3 1 2


[2]
Diffraction record for Sc2AgOs. The powder X-ray diffraction pattern is simulated, not measured: it uses a DFT-relaxed cell (PBE, the Materials Project) and λ = 1.5418 Å (Cu Kα).
Kinematic intensities with the Lorentz-polarization factor, no thermal factor.

```
data_Sc2AgOs
_chemical_formula_sum 'Sc8 Ag4 Os4'
_cell_length_a 6.6215
_cell_length_b 6.6215
_cell_length_c 6.6215
_cell_angle_alpha 90.00
_cell_angle_beta 90.00
_cell_angle_gamma 90.00
_symmetry_space_group_name_H-M 'F m -3 m'
_symmetry_Int_Tables_number 225
_symmetry_space_group_name_Hall '-F 4 2 3'
loop_
_atom_site_label
_atom_site_fract_x
_atom_site_fract_y
_atom_site_fract_z
_atom_site_occupancy
Sc1 0.2500 0.2500 0.2500 1
Ag1 0.0000 0.0000 0.0000 1
Os1 0.0000 0.0000 0.5000 1
```

Principal peaks in the range 15° ≤ 2θ ≤ 90°, sorted by position:
2θ (°)  d_spacing  intensity  h k l
23.27  3.823  8  1 1 1
26.93  3.311  37  2 0 0
38.45  2.341  100  2 2 0
45.43  1.996  5  3 1 1
47.57  1.911  11  2 2 2
55.51  1.655  17  4 0 0
62.76  1.481  15  4 2 0
69.55  1.352  33  4 2 2
82.39  1.171  10  4 4 0
88.62  1.104  8  6 0 0


[3]
Diffraction record for BaMgTiB2O6. The powder X-ray diffraction pattern is simulated, not measured: it uses a DFT-relaxed cell (PBE, the Materials Project) and λ = 1.5418 Å (Cu Kα).
Kinematic intensities with the Lorentz-polarization factor, no thermal factor.

```
data_BaMgTiB2O6
_chemical_formula_sum 'Ba3 Mg3 Ti3 B6 O18'
_cell_length_a 5.1560
_cell_length_b 5.1560
_cell_length_c 19.7131
_cell_angle_alpha 90.00
_cell_angle_beta 90.00
_cell_angle_gamma 120.00
_symmetry_space_group_name_H-M 'R 3'
_symmetry_Int_Tables_number 146
_symmetry_space_group_name_Hall 'R 3'
loop_
_atom_site_label
_atom_site_fract_x
_atom_site_fract_y
_atom_site_fract_z
_atom_site_occupancy
Ba1 0.0000 0.0000 0.0000 1
Mg1 0.0000 0.0000 0.8297 1
Ti1 0.0000 0.0000 0.4573 1
B1 0.0000 0.0000 0.1890 1
B2 0.0000 0.0000 0.7139 1
O1 0.0054 0.2740 0.1885 1
O2 0.1568 0.7964 0.3847 1
```

Principal peaks in the range 15° ≤ 2θ ≤ 90°, sorted by position:
2θ (°)  d_spacing  intensity  h k l
20.39  4.355  56  1 0 1
21.85  4.067  89  0 1 2
26.94  3.309  100  1 0 4
27.14  3.286  41  0 0 6
30.24  2.955  59  0 1 5
34.80  2.578  65  1 1 0
37.77  2.382  43  1 0 7
41.47  2.177  42  2 0 2
44.68  2.028  51  2 -1 6
55.22  1.663  51  0 1 11


[4]
Diffraction record for KCu2P2H3O8F2. The powder X-ray diffraction pattern is simulated, not measured: it uses a DFT-relaxed cell (PBE, the Materials Project) and λ = 1.5418 Å (Cu Kα).
Kinematic intensities with the Lorentz-polarization factor, no thermal factor.

```
data_KCu2P2H3O8F2
_chemical_formula_sum 'K2 Cu4 P4 H6 O16 F4'
_cell_length_a 9.1872
_cell_length_b 6.4932
_cell_length_c 7.9799
_cell_angle_alpha 90.00
_cell_angle_beta 119.12
_cell_angle_gamma 90.00
_symmetry_space_group_name_H-M 'C 1 2/m 1'
_symmetry_Int_Tables_number 12
loop_
_symmetry_equiv_pos_as_xyz
'x,y,z'
'-x,-y,-z'
'-x,y,-z'
'x,-y,z'
'x+1/2,y+1/2,z'
'-x+1/2,-y+1/2,-z'
'-x+1/2,y+1/2,-z'
'x+1/2,-y+1/2,z'
loop_
_atom_site_label
_atom_site_fract_x
_atom_site_fract_y
_atom_site_fract_z
_atom_site_occupancy
K1 0.0000 0.0000 0.0000 1
Cu1 0.2500 0.2500 0.5000 1
P1 0.0652 0.5000 0.7601 1
H1 0.0000 0.0000 0.5000 1
H2 0.2040 0.0000 0.7062 1
O1 0.0345 0.3005 0.2722 1
O2 0.1514 0.0000 0.5656 1
O3 0.1887 0.5000 0.6866 1
F1 0.1809 0.5000 0.9927 1
```

Principal peaks in the range 15° ≤ 2θ ≤ 90°, sorted by position:
2θ (°)  d_spacing  intensity  h k l
19.42  4.570  48  2 0 -1
24.35  3.656  83  2 0 -2
26.25  3.395  71  1 1 -2
30.37  2.943  91  0 2 1
30.64  2.918  64  2 0 1
32.51  2.754  36  3 1 -1
33.87  2.646  100  2 2 -1
35.53  2.527  44  1 1 2
37.03  2.428  68  2 2 -2
51.69  1.769  41  4 2 -3


[5]
Diffraction record for MgTi2Zn4O8. The powder X-ray diffraction pattern is simulated, not measured: it uses a DFT-relaxed cell (PBE, the Materials Project) and λ = 1.5418 Å (Cu Kα).
Kinematic intensities with the Lorentz-polarization factor, no thermal factor.

```
data_MgTi2Zn4O8
_chemical_formula_sum 'Mg2 Ti4 Zn8 O16'
_cell_length_a 10.5069
_cell_length_b 5.8972
_cell_length_c 6.4026
_cell_angle_alpha 90.00
_cell_angle_beta 123.03
_cell_angle_gamma 90.00
_symmetry_space_group_name_H-M 'C 1 2/m 1'
_symmetry_Int_Tables_number 12
loop_
_symmetry_equiv_pos_as_xyz
'x,y,z'
'-x,-y,-z'
'-x,y,-z'
'x,-y,z'
'x+1/2,y+1/2,z'
'-x+1/2,-y+1/2,-z'
'-x+1/2,y+1/2,-z'
'x+1/2,-y+1/2,z'
loop_
_atom_site_label
_atom_site_fract_x
_atom_site_fract_y
_atom_site_fract_z
_atom_site_occupancy
Mg1 0.0000 0.0000 0.0000 1
Ti1 0.2500 0.2500 0.0000 1
Zn1 0.0000 0.5000 0.0000 1
Zn2 0.0000 0.5000 0.5000 1
Zn3 0.1432 0.0000 0.4540 1
O1 0.0163 0.2468 0.7678 1
O2 0.2312 0.5000 0.1976 1
O3 0.2373 0.0000 0.2260 1
```

Principal peaks in the range 15° ≤ 2θ ≤ 90°, sorted by position:
2θ (°)  d_spacing  intensity  h k l
29.67  3.011  33  3 1 -1
30.31  2.949  26  0 2 0
33.38  2.684  29  0 0 2
34.14  2.626  100  3 1 -2
34.71  2.584  31  0 2 1
35.36  2.539  28  2 2 -1
41.70  2.166  37  2 2 -2
53.47  1.714  23  2 2 -3
58.17  1.586  27  2 2 2
61.60  1.506  34  6 2 -2


[6]
Diffraction record for Tb2Ce. The powder X-ray diffraction pattern is simulated, not measured: it uses a DFT-relaxed cell (PBE, the Materials Project) and λ = 1.5418 Å (Cu Kα).
Kinematic intensities with the Lorentz-polarization factor, no thermal factor.

```
data_Tb2Ce
_chemical_formula_sum 'Tb6 Ce3'
_cell_length_a 3.5460
_cell_length_b 3.5460
_cell_length_c 25.4683
_cell_angle_alpha 90.00
_cell_angle_beta 90.00
_cell_angle_gamma 120.00
_symmetry_space_group_name_H-M 'R -3 m'
_symmetry_Int_Tables_number 166
_symmetry_space_group_name_Hall '-R 3 2"'
loop_
_atom_site_label
_atom_site_fract_x
_atom_site_fract_y
_atom_site_fract_z
_atom_site_occupancy
Tb1 0.0000 0.0000 0.2230 1
Ce1 0.0000 0.0000 0.0000 1
```

Principal peaks in the range 15° ≤ 2θ ≤ 90°, sorted by position:
2θ (°)  d_spacing  intensity  h k l
29.29  3.049  33  1 0 1
29.93  2.985  21  0 1 2
31.62  2.830  49  0 0 9
32.37  2.766  100  1 0 4
34.09  2.630  83  0 1 5
51.55  1.773  38  1 1 0
55.65  1.652  22  1 0 13
59.02  1.565  16  0 1 14
61.74  1.502  44  1 1 9
88.39  1.106  20  1 1 18


[7]
Diffraction record for SmLuO3. The powder X-ray diffraction pattern is simulated, not measured: it uses a DFT-relaxed cell (PBE, the Materials Project) and λ = 1.5418 Å (Cu Kα).
Kinematic intensities with the Lorentz-polarization factor, no thermal factor.

```
data_SmLuO3
_chemical_formula_sum 'Sm4 Lu4 O12'
_cell_length_a 5.9587
_cell_length_b 8.2991
_cell_length_c 5.6990
_cell_angle_alpha 90.00
_cell_angle_beta 90.00
_cell_angle_gamma 90.00
_symmetry_space_group_name_H-M 'P n m a'
_symmetry_Int_Tables_number 62
loop_
_symmetry_equiv_pos_as_xyz
'x,y,z'
'-x,-y,-z'
'-x+1/2,-y,z+1/2'
'x+1/2,y,-z+1/2'
'x+1/2,-y+1/2,-z+1/2'
'-x+1/2,y+1/2,z+1/2'
'-x,y+1/2,-z'
'x,-y+1/2,z'
loop_
_atom_site_label
_atom_site_fract_x
_atom_site_fract_y
_atom_site_fract_z
_atom_site_occupancy
Sm1 0.0549 0.2500 0.0146 1
Lu1 0.0000 0.0000 0.5000 1
O1 0.0627 0.7500 0.3696 1
O2 0.1884 0.5677 0.8144 1
```

Principal peaks in the range 15° ≤ 2θ ≤ 90°, sorted by position:
2θ (°)  d_spacing  intensity  h k l
29.99  2.979  22  2 0 0
30.58  2.923  100  1 2 1
31.39  2.850  23  0 0 2
43.62  2.075  12  0 4 0
43.97  2.059  19  2 0 2
53.62  1.709  15  3 2 1
53.85  1.703  10  2 4 0
54.73  1.677  11  0 4 2
55.38  1.659  22  1 2 3
63.67  1.462  11  2 4 2